Starting from a crystal structure in Alexandria, relaxed with PBE, the X-ray diffraction stick pattern of PrH5Os was simulated for Cu Ka.

Cell and atoms:
```
PrH5Os
1.0
3.6888 0.0000 0.0000
0.0000 5.1367 0.0000
0.0000 0.0000 6.9591
Pr H Os
2 10 2
Cartesian
0.0000 0.0000 0.0000 Pr
1.8444 2.5683 3.4796 Pr
0.0000 1.2553 2.3190 H
0.0000 1.2553 4.6402 H
0.0000 2.5683 0.0000 H
0.0000 3.8814 2.3190 H
0.0000 3.8814 4.6402 H
1.8444 0.0000 3.4796 H
1.8444 1.3131 1.1606 H
1.8444 1.3131 5.7985 H
1.8444 3.8236 1.1606 H
1.8444 3.8236 5.7985 H
0.0000 0.0000 3.4796 Os
1.8444 2.5683 0.0000 Os
```

The 6 most intense peaks (10 to 90 degrees two-theta), in order of rising 2θ:
2theta, Rel. int., (hkl)
25.6, 73.4, 0 0 2
29.8, 100.0, 1 1 0
34.9, 32.4, 0 2 0
39.7, 93.1, 1 1 2
43.8, 36.3, 0 2 2
61.6, 25.9, 1 1 4